Entry 1:
Diffraction record for HgNCl. The X-ray diffraction stick pattern is computed, not measured: it uses a cell relaxed with GGA-PBE and Cu Ka.
Intensities are scaled so that the largest is 100.

Largest 6 diffraction maxima, by intensity, 15 to 90 degrees two-theta:
(hkl)  2θ (°)  d [Å]  Rel. int.
0 0 2  16.6  5.344  100
0 2 2  31.0  2.882  87
2 0 2  28.6  3.124  78
2 0 0  23.1  3.850  76
2 2 2  39.0  2.307  75
2 2 0  35.1  2.558  43

Atomic structure:
abc: 7.701 6.844 10.689
angles: 90.00 90.00 90.00
Atoms (fractional coordinates):
Hg (0.000, 0.000, 0.000)
Hg (0.000, 0.000, 0.500)
Hg (0.000, 0.500, 0.000)
Hg (0.000, 0.500, 0.500)
Hg (0.500, 0.000, 0.000)
Hg (0.500, 0.000, 0.500)
Hg (0.500, 0.500, 0.000)
Hg (0.500, 0.500, 0.500)
N (0.046, 0.250, 0.111)
N (0.127, 0.750, 0.428)
N (0.373, 0.250, 0.928)
N (0.454, 0.750, 0.611)
N (0.546, 0.250, 0.389)
N (0.627, 0.750, 0.072)
N (0.873, 0.250, 0.572)
N (0.954, 0.750, 0.889)
Cl (0.113, 0.750, 0.766)
Cl (0.115, 0.750, 0.261)
Cl (0.385, 0.250, 0.761)
Cl (0.387, 0.250, 0.266)
Cl (0.613, 0.750, 0.734)
Cl (0.615, 0.750, 0.239)
Cl (0.885, 0.250, 0.739)
Cl (0.887, 0.250, 0.234)

***

Entry 2:
Diffraction record for Ce2InPt2. The X-ray diffraction stick pattern is computed, not measured: it uses a cell relaxed with GGA-PBE and Cu Ka.
Intensities are scaled so that the largest is 100.

Largest 6 diffraction maxima, by intensity, 15 to 90 degrees two-theta:
(hkl)  2θ (°)  d [Å]  Rel. int.
2 1 1  34.9  2.568  100
3 1 0  36.2  2.484  40
5 2 1  69.1  1.360  18
3 1 2  61.9  1.500  17
2 0 1  33.0  2.717  15
5 1 1  65.5  1.425  13

Atomic structure:
abc: 7.856 7.856 3.764
angles: 90.00 90.00 90.00
Atoms (fractional coordinates):
Ce (0.173, 0.327, 0.000)
Ce (0.327, 0.827, 0.000)
Ce (0.673, 0.173, 0.000)
Ce (0.827, 0.673, 0.000)
In (0.000, 0.000, 0.500)
In (0.500, 0.500, 0.500)
Pt (0.131, 0.631, 0.500)
Pt (0.369, 0.131, 0.500)
Pt (0.631, 0.869, 0.500)
Pt (0.869, 0.369, 0.500)

***

Entry 3:
Diffraction record for RuRh3. The X-ray diffraction stick pattern is computed, not measured: it uses a cell relaxed with GGA-PBE and Cu Ka.
Intensities are scaled so that the largest is 100.

Largest 6 diffraction maxima, by intensity, 15 to 90 degrees two-theta:
(hkl)  2θ (°)  d [Å]  Rel. int.
2 0 1  43.4  2.085  100
0 0 2  41.3  2.185  26
2 0 0  37.9  2.372  25
2 2 2  83.3  1.160  19
2 0 3  76.8  1.241  18
2 2 0  68.5  1.369  17

Atomic structure:
abc: 5.477 5.477 4.371
angles: 90.00 90.00 120.00
Atoms (fractional coordinates):
Ru (0.333, 0.667, 0.250)
Ru (0.667, 0.333, 0.750)
Rh (0.167, 0.335, 0.750)
Rh (0.167, 0.833, 0.750)
Rh (0.335, 0.167, 0.250)
Rh (0.665, 0.833, 0.750)
Rh (0.833, 0.167, 0.250)
Rh (0.833, 0.665, 0.250)

***

Entry 4:
Diffraction record for TbB2C. The X-ray diffraction stick pattern is computed, not measured: it uses a cell relaxed with GGA-PBE and Cu Ka.
Intensities are scaled so that the largest is 100.

Largest 6 diffraction maxima, by intensity, 15 to 90 degrees two-theta:
(hkl)  2θ (°)  d [Å]  Rel. int.
2 1 2  38.0  2.369  100
2 0 2  35.5  2.527  79
2 1 0  29.3  3.044  77
2 0 0  26.2  3.404  68
0 0 2  23.6  3.773  61
4 1 0  55.7  1.651  53

Atomic structure:
abc: 6.807 6.807 7.547
angles: 90.00 90.00 90.00
Atoms (fractional coordinates):
Tb (0.190, 0.310, 0.250)
Tb (0.190, 0.310, 0.750)
Tb (0.310, 0.810, 0.250)
Tb (0.310, 0.810, 0.750)
Tb (0.690, 0.190, 0.250)
Tb (0.690, 0.190, 0.750)
Tb (0.810, 0.690, 0.250)
Tb (0.810, 0.690, 0.750)
B (0.035, 0.849, 0.000)
B (0.095, 0.597, 0.000)
B (0.097, 0.595, 0.500)
B (0.151, 0.035, 0.500)
B (0.349, 0.535, 0.500)
B (0.403, 0.095, 0.500)
B (0.405, 0.097, 0.000)
B (0.465, 0.349, 0.000)
B (0.535, 0.651, 0.000)
B (0.595, 0.903, 0.000)
B (0.597, 0.905, 0.500)
B (0.651, 0.465, 0.500)
B (0.849, 0.965, 0.500)
B (0.903, 0.405, 0.500)
B (0.905, 0.403, 0.000)
B (0.965, 0.151, 0.000)
C (0.041, 0.823, 0.500)
C (0.177, 0.041, 0.000)
C (0.323, 0.541, 0.000)
C (0.459, 0.323, 0.500)
C (0.541, 0.677, 0.500)
C (0.677, 0.459, 0.000)
C (0.823, 0.959, 0.000)
C (0.959, 0.177, 0.500)